ErTm2Co2B2O3: calculated powder X-ray diffraction pattern (copper Kα), based on the GGA+U geometry in OQMD.

Peak list (8 most intense, 2θ from 10° to 90°, by intensity)
2θ (°)  I (rel.)  hkl
29.35  100  1 0 3
33.98  58  0 0 8
45.95  35  1 1 6
37.71  30  1 1 0
65.69  27  2 0 8
55.03  25  1 0 11
63.00  25  2 1 3
54.39  24  2 0 0

Atomic structure:
abc: 3.374 3.374 21.122
angles: 90.00 90.00 90.00
Space group I4/mmm (No. 139)
Unique sites:
Er: 0.000 0.000 0.000 [2 per cell]
Tm: 0.000 0.000 0.361 [4 per cell]
Co: 0.000 0.500 0.250 [4 per cell]
B: 0.000 0.000 0.208 [4 per cell]
O: 0.000 0.000 0.103 [4 per cell]
O: 0.000 0.000 0.500 [2 per cell]